Y2MnC4: simulated powder XRD pattern (Cu Kα X-rays), based on a GGA-PBE-relaxed structure.
Intensities are scaled so that the largest is 100.

Main lines, low angle first (2θ from 5° to 70°):
2theta	I_rel
28.2	95
30.3	83
30.9	100
36.8	50
52.5	51
59.2	49

Structure:
Cell lengths 6.625, 6.625, 6.625 Å; angles 110.30, 86.82, 135.11 degrees
Fractional coordinates of all 14 atoms:
Y 0.145 0.156 0.301
Y 0.355 0.656 0.011
Y 0.645 0.344 0.989
Y 0.855 0.844 0.699
Mn 0.250 0.750 0.500
Mn 0.750 0.250 0.500
C 0.079 0.670 0.749
C 0.128 0.840 0.969
C 0.372 0.340 0.712
C 0.421 0.170 0.591
C 0.579 0.830 0.409
C 0.628 0.660 0.288
C 0.872 0.160 0.031
C 0.921 0.330 0.251